SmGaPt: simulated X-ray powder pattern (a wavelength of 1.5418 Å), based on a cell relaxed with GGA-PBE.
Intensities are scaled so that the largest is 100.

Atomic structure:
```
data_SmGaPt
_chemical_formula_sum 'Sm4 Ga4 Pt4'
_symmetry_space_group_name_H-M 'P n m a'
_symmetry_Int_Tables_number 62
_symmetry_space_group_name_Hall '-P 2ac 2n'
_cell_length_a 7.043
_cell_length_b 4.473
_cell_length_c 7.812
_cell_angle_alpha 90.00
_cell_angle_beta 90.00
_cell_angle_gamma 90.00
loop_
_atom_site_label
_atom_site_type_symbol
_atom_site_fract_x
_atom_site_fract_y
_atom_site_fract_z
Sm1 Sm 0.015 0.250 0.199
Ga1 Ga 0.172 0.250 0.573
Pt1 Pt 0.223 0.750 0.402
```

The 6 most intense peaks (10° ≤ 2θ ≤ 90°), by intensity:
- hkl 2 1 1, 2θ = 34.36°, I 100
- hkl 0 1 3, 2θ = 40.08°, I 56
- hkl 0 2 0, 2θ = 40.32°, I 31
- hkl 1 1 2, 2θ = 32.99°, I 28
- hkl 1 1 1, 2θ = 26.21°, I 22
- hkl 1 0 2, 2θ = 26.09°, I 16

TaGaPt: simulated X-ray powder pattern (a wavelength of 1.5418 Å), based on a cell relaxed with GGA-PBE.
Intensities are scaled so that the largest is 100.

Atomic structure:
```
data_TaGaPt
_chemical_formula_sum 'Ta4 Ga4 Pt4'
_symmetry_space_group_name_H-M 'F -4 3 m'
_symmetry_Int_Tables_number 216
_symmetry_space_group_name_Hall 'F -4 2 3'
_cell_length_a 6.145
_cell_length_b 6.145
_cell_length_c 6.145
_cell_angle_alpha 90.00
_cell_angle_beta 90.00
_cell_angle_gamma 90.00
loop_
_atom_site_label
_atom_site_type_symbol
_atom_site_fract_x
_atom_site_fract_y
_atom_site_fract_z
Ta1 Ta 0.000 0.000 0.000
Ga1 Ga 0.250 0.250 0.250
Pt1 Pt 0.250 0.250 0.750
```

The 6 most intense peaks (10° ≤ 2θ ≤ 90°), by intensity:
- hkl 2 2 0, 2θ = 41.56°, I 100
- hkl 1 1 1, 2θ = 25.10°, I 58
- hkl 4 2 2, 2θ = 75.84°, I 34
- hkl 3 1 1, 2θ = 49.17°, I 29
- hkl 4 0 0, 2θ = 60.24°, I 17
- hkl 3 3 1, 2θ = 66.30°, I 12

TbGaPt: simulated X-ray powder pattern (a wavelength of 1.5418 Å), based on a cell relaxed with GGA-PBE.
Intensities are scaled so that the largest is 100.

Atomic structure:
```
data_TbGaPt
_chemical_formula_sum 'Tb4 Ga4 Pt4'
_symmetry_space_group_name_H-M 'P n m a'
_symmetry_Int_Tables_number 62
_symmetry_space_group_name_Hall '-P 2ac 2n'
_cell_length_a 6.960
_cell_length_b 4.460
_cell_length_c 7.693
_cell_angle_alpha 90.00
_cell_angle_beta 90.00
_cell_angle_gamma 90.00
loop_
_atom_site_label
_atom_site_type_symbol
_atom_site_fract_x
_atom_site_fract_y
_atom_site_fract_z
Tb1 Tb 0.016 0.250 0.197
Ga1 Ga 0.171 0.250 0.575
Pt1 Pt 0.222 0.750 0.402
```

The 6 most intense peaks (10° ≤ 2θ ≤ 90°), by intensity:
- hkl 2 1 1, 2θ = 34.73°, I 100
- hkl 0 1 3, 2θ = 40.59°, I 54
- hkl 1 0 2, 2θ = 26.44°, I 36
- hkl 0 2 0, 2θ = 40.45°, I 32
- hkl 1 1 2, 2θ = 33.35°, I 30
- hkl 3 0 2, 2θ = 45.65°, I 15

Ti6Ga16Pt7: simulated X-ray powder pattern (a wavelength of 1.5418 Å), based on a cell relaxed with GGA-PBE.
Intensities are scaled so that the largest is 100.

Atomic structure:
```
data_Ti6Ga16Pt7
_chemical_formula_sum 'Ti24 Ga64 Pt28'
_symmetry_space_group_name_H-M 'F m -3 m'
_symmetry_Int_Tables_number 225
_symmetry_space_group_name_Hall '-F 4 2 3'
_cell_length_a 12.351
_cell_length_b 12.351
_cell_length_c 12.351
_cell_angle_alpha 90.00
_cell_angle_beta 90.00
_cell_angle_gamma 90.00
loop_
_atom_site_label
_atom_site_type_symbol
_atom_site_fract_x
_atom_site_fract_y
_atom_site_fract_z
Ti1 Ti 0.000 0.000 0.179
Ga1 Ga 0.121 0.121 0.379
Ga2 Ga 0.154 0.154 0.154
Pt1 Pt 0.000 0.000 0.500
Pt2 Pt 0.000 0.250 0.250
```

The 6 most intense peaks (10° ≤ 2θ ≤ 90°), by intensity:
- hkl 4 4 0, 2θ = 41.35°, I 100
- hkl 2 2 2, 2θ = 24.97°, I 60
- hkl 6 2 2, 2θ = 48.92°, I 44
- hkl 8 4 4, 2θ = 75.41°, I 22
- hkl 6 6 2, 2θ = 65.93°, I 16
- hkl 6 6 6, 2θ = 80.88°, I 15